1.
This entry pairs a crystal structure of MgPb6 with its theoretical PXRD pattern. Radiation: Cu Kα. Structure: DFT lattice parameters and positions (PBE).
Intensities are scaled so that the largest is 100.

Structure:
Cell lengths 5.6468, 5.6468, 23.0858 Å; angles 90.00, 90.00, 120.00 degrees
Space group R-3m (No. 166, hexagonal axes)
One atom of each set of equivalent atoms:
Mg  0.0000  0.0000  0.0000 x3
Pb  0.0000  0.0000  0.1355 x6
Pb  0.0000  0.0000  0.2810 x6
Pb  0.0000  0.0000  0.4262 x6

Largest 8 diffraction maxima, by angle, 10° ≤ 2θ ≤ 90°:
(1 1 0), 31.69 deg, intensity 100; (1 0 7), 32.75 deg, intensity 87; (0 2 7), 46.22 deg, intensity 34; (3 0 0), 56.45 deg, intensity 20; (2 1 7), 57.13 deg, intensity 37; (0 1 14), 59.13 deg, intensity 14; (1 3 7), 75.84 deg, intensity 17; (1 2 14), 77.59 deg, intensity 13

***

2.
This entry pairs a crystal structure of Mg5Pb with its theoretical PXRD pattern. Radiation: Cu Kα. Structure: DFT lattice parameters and positions (PBE).
Intensities are scaled so that the largest is 100.

Structure:
Cell lengths 5.6171, 5.6171, 15.8014 Å; angles 90.00, 90.00, 120.00 degrees
Space group R32 (No. 155, hexagonal axes)
One atom of each set of equivalent atoms:
Mg  0.0000  0.0000  0.1688 x6
Mg  0.0000  0.6718  0.0000 x9
Pb  0.0000  0.0000  0.5000 x3

Largest 8 diffraction maxima, by angle, 10° ≤ 2θ ≤ 90°:
(0 0 3), 16.83 deg, intensity 36; (1 0 1), 19.09 deg, intensity 82; (0 1 2), 21.45 deg, intensity 64; (1 0 4), 29.12 deg, intensity 32; (1 1 0), 31.86 deg, intensity 40; (0 0 6), 34.04 deg, intensity 24; (1 1 3), 36.25 deg, intensity 100; (1 1 6), 47.32 deg, intensity 27

***

3.
This entry pairs a crystal structure of Mg4Pb3 with its theoretical PXRD pattern. Radiation: Cu Kα. Structure: DFT lattice parameters and positions (PBE).
Intensities are scaled so that the largest is 100.

Structure:
Cell lengths 13.9334, 13.9334, 6.4069 Å; angles 90.00, 90.00, 120.00 degrees
Space group R-3 (No. 148, hexagonal axes)
One atom of each set of equivalent atoms:
Mg  0.0000  0.0000  0.0000 x3
Mg  0.0000  0.0000  0.5000 x3
Mg  0.0519  0.2498  0.1892 x18
Pb  0.0497  0.2302  0.6965 x18

Largest 8 diffraction maxima, by angle, 10° ≤ 2θ ≤ 90°:
(2 1 1), 23.95 deg, intensity 100; (1 4 0), 34.05 deg, intensity 75; (3 -2 2), 34.21 deg, intensity 66; (6 -4 1), 42.06 deg, intensity 23; (4 2 2), 49.03 deg, intensity 27; (3 5 1), 55.18 deg, intensity 20; (1 4 3), 55.39 deg, intensity 16; (0 7 2), 61.04 deg, intensity 23

***

4.
This entry pairs a crystal structure of MgPb5 with its theoretical PXRD pattern. Radiation: Cu Kα. Structure: DFT lattice parameters and positions (PBE).
Intensities are scaled so that the largest is 100.

Structure:
Cell lengths 3.584, 3.584, 13.912 Å; angles 90.00, 90.00, 90.00 degrees
Space group P4/mmm (No. 123)
One atom of each set of equivalent atoms:
Mg  0.000  0.000  0.000 x1
Pb  0.000  0.000  0.324 x2
Pb  0.500  0.500  0.146 x2
Pb  0.500  0.500  0.500 x1

Largest 8 diffraction maxima, by angle, 10° ≤ 2θ ≤ 90°:
(1 0 2), 28.01 deg, intensity 13; (1 0 3), 31.55 deg, intensity 100; (1 1 0), 35.42 deg, intensity 40; (2 0 0), 50.96 deg, intensity 14; (1 1 6), 53.57 deg, intensity 19; (2 1 3), 61.18 deg, intensity 31; (2 0 6), 65.84 deg, intensity 17; (2 2 6), 87.75 deg, intensity 12

***

5.
This entry pairs a crystal structure of MgPb3 with its theoretical PXRD pattern. Radiation: Cu Kα. Structure: DFT lattice parameters and positions (PBE).
Intensities are scaled so that the largest is 100.

Structure:
Cell lengths 3.5565, 3.5565, 10.6648 Å; angles 90.00, 90.00, 120.00 degrees
Space group P-6m2 (No. 187)
One atom of each set of equivalent atoms:
Mg  0.0000  0.0000  0.0000 x1
Pb  0.0000  0.0000  0.5000 x1
Pb  0.6667  0.3333  0.2288 x2

Largest 8 diffraction maxima, by angle, 10° ≤ 2θ ≤ 90°:
(1 0 0), 28.99 deg, intensity 26; (1 0 1), 30.20 deg, intensity 16; (0 0 4), 33.60 deg, intensity 100; (1 1 0), 51.38 deg, intensity 18; (1 0 5), 52.16 deg, intensity 13; (1 0 6), 60.10 deg, intensity 14; (1 1 4), 62.81 deg, intensity 31; (2 1 2), 85.35 deg, intensity 13

***

6.
This entry pairs a crystal structure of Mg4Pb5 with its theoretical PXRD pattern. Radiation: Cu Kα. Structure: DFT lattice parameters and positions (PBE).
Intensities are scaled so that the largest is 100.

Structure:
Cell lengths 14.285, 10.155, 3.477 Å; angles 90.00, 103.92, 90.00 degrees
Space group C2/m (No. 12)
One atom of each set of equivalent atoms:
Mg  0.159  0.179  0.161 x8
Pb  0.000  0.000  0.500 x2
Pb  0.000  0.338  0.500 x4
Pb  0.196  0.500  0.194 x4

Largest 8 diffraction maxima, by angle, 10° ≤ 2θ ≤ 90°:
(0 2 0), 17.47 deg, intensity 24; (4 0 0), 25.70 deg, intensity 31; (2 0 -1), 26.43 deg, intensity 26; (1 3 0), 27.11 deg, intensity 41; (2 0 1), 32.22 deg, intensity 100; (3 3 0), 32.80 deg, intensity 95; (1 3 -1), 37.07 deg, intensity 77; (2 6 1), 64.46 deg, intensity 27

***

7.
This entry pairs a crystal structure of Mg5Pb2 with its theoretical PXRD pattern. Radiation: Cu Kα. Structure: DFT lattice parameters and positions (PBE).
Intensities are scaled so that the largest is 100.

Structure:
Cell lengths 4.517, 34.854, 4.478 Å; angles 90.00, 90.00, 90.00 degrees
Space group Cmcm (No. 63)
One atom of each set of equivalent atoms:
Mg  0.000  0.032  0.250 x4
Mg  0.000  0.103  0.750 x4
Mg  0.000  0.250  0.250 x4
Mg  0.000  0.321  0.750 x4
Mg  0.000  0.467  0.250 x4
Pb  0.000  0.190  0.750 x4
Pb  0.000  0.406  0.750 x4

Largest 8 diffraction maxima, by angle, 10° ≤ 2θ ≤ 90°:
(0 4 1), 22.32 deg, intensity 74; (1 5 0), 23.47 deg, intensity 85; (0 6 1), 25.11 deg, intensity 26; (0 10 0), 25.56 deg, intensity 32; (1 1 1), 28.18 deg, intensity 84; (1 9 1), 36.56 deg, intensity 100; (2 0 0), 39.92 deg, intensity 26; (1 5 2), 47.14 deg, intensity 28

***

8.
This entry pairs a crystal structure of Mg3Pb2 with its theoretical PXRD pattern. Radiation: Cu Kα. Structure: DFT lattice parameters and positions (PBE).
Intensities are scaled so that the largest is 100.

Structure:
Cell lengths 14.555, 23.364, 3.159 Å; angles 90.00, 90.00, 90.00 degrees
Space group Fdd2 (No. 43)
One atom of each set of equivalent atoms:
Mg  0.000  0.000  0.000 x8
Mg  0.067  0.205  0.774 x16
Pb  0.116  0.338  0.710 x16

Largest 8 diffraction maxima, by angle, 10° ≤ 2θ ≤ 90°:
(0 4 0), 15.17 deg, intensity 41; (2 4 0), 19.49 deg, intensity 100; (4 0 0), 24.46 deg, intensity 51; (4 4 0), 28.91 deg, intensity 34; (1 1 1), 29.18 deg, intensity 33; (1 3 1), 31.17 deg, intensity 29; (2 8 0), 33.05 deg, intensity 60; (3 1 1), 34.09 deg, intensity 43

***

9.
This entry pairs a crystal structure of Mg7Pb2 with its theoretical PXRD pattern. Radiation: Cu Kα. Structure: DFT lattice parameters and positions (PBE).
Intensities are scaled so that the largest is 100.

Structure:
Cell lengths 5.8226, 5.8226, 7.5862 Å; angles 90.00, 90.00, 120.00 degrees
Space group P-31m (No. 162)
One atom of each set of equivalent atoms:
Mg  0.0000  0.0000  0.0000 x1
Mg  0.0000  0.3290  0.6644 x6
Pb  0.3333  0.6667  0.0000 x2

Largest 8 diffraction maxima, by angle, 10° ≤ 2θ ≤ 90°:
(0 0 1), 11.67 deg, intensity 94; (1 0 0), 17.59 deg, intensity 29; (1 0 1), 21.16 deg, intensity 39; (0 0 2), 23.45 deg, intensity 21; (1 1 0), 30.71 deg, intensity 32; (1 1 1), 32.95 deg, intensity 100; (2 -1 2), 39.00 deg, intensity 63; (1 1 3), 47.65 deg, intensity 25

***

10.
This entry pairs a crystal structure of MgPd4Pb2 with its theoretical PXRD pattern. Radiation: Cu Kα. Structure: DFT lattice parameters and positions (PBE).
Intensities are scaled so that the largest is 100.

Structure:
Cell lengths 6.243, 6.584, 7.684 Å; angles 112.84, 101.76, 104.93 degrees
Space group P1 (No. 1)
One atom of each set of equivalent atoms:
Mg  0.000  0.000  0.000 x1
Mg  0.341  0.856  0.558 x1
Pd  0.183  0.106  0.394 x1
Pd  0.241  0.683  0.137 x1
Pd  0.286  0.228  0.834 x1
Pd  0.521  0.954  0.967 x1
Pd  0.786  0.664  0.115 x1
Pd  0.792  0.219  0.824 x1
Pd  0.883  0.809  0.578 x1
Pd  0.965  0.406  0.280 x1
Pb  0.097  0.532  0.718 x1
Pb  0.478  0.404  0.245 x1
Pb  0.584  0.516  0.711 x1
Pb  0.698  0.037  0.371 x1

Largest 8 diffraction maxima, by angle, 10° ≤ 2θ ≤ 90°:
(0 0 2), 26.79 deg, intensity 31; (2 -2 0), 35.58 deg, intensity 94; (2 1 -1), 36.42 deg, intensity 100; (0 1 2), 37.24 deg, intensity 92; (0 2 -3), 38.20 deg, intensity 86; (2 0 -3), 42.30 deg, intensity 51; (2 -1 2), 42.61 deg, intensity 77; (0 3 -1), 43.59 deg, intensity 54

***

11.
This entry pairs a crystal structure of Mg8PdPb2 with its theoretical PXRD pattern. Radiation: Cu Kα. Structure: DFT lattice parameters and positions (PBE).
Intensities are scaled so that the largest is 100.

Structure:
Cell lengths 16.289, 4.935, 6.900 Å; angles 90.00, 114.58, 90.00 degrees
Space group C2/m (No. 12)
One atom of each set of equivalent atoms:
Mg  0.003  0.000  0.278 x4
Mg  0.127  0.500  0.890 x4
Mg  0.134  0.500  0.383 x4
Mg  0.180  0.000  0.689 x4
Pd  0.000  0.500  0.500 x2
Pb  0.180  0.000  0.179 x4

Largest 8 diffraction maxima, by angle, 10° ≤ 2θ ≤ 90°:
(2 0 1), 22.11 deg, intensity 100; (4 0 -1), 22.23 deg, intensity 35; (3 1 0), 25.52 deg, intensity 41; (0 2 0), 36.40 deg, intensity 40; (1 1 2), 36.51 deg, intensity 43; (5 1 -2), 36.73 deg, intensity 41; (2 2 1), 42.95 deg, intensity 23; (4 2 -1), 43.09 deg, intensity 23

***

12.
This entry pairs a crystal structure of PmMg2Pd4Pb with its theoretical PXRD pattern. Radiation: Cu Kα. Structure: DFT lattice parameters and positions (PBE).
Intensities are scaled so that the largest is 100.

Structure:
Cell lengths 4.8032, 4.8032, 23.1167 Å; angles 90.00, 90.00, 120.00 degrees
Space group R-3m (No. 166, hexagonal axes)
One atom of each set of equivalent atoms:
Pm  0.0000  0.0000  0.0000 x3
Mg  0.0000  0.0000  0.2482 x6
Pd  0.0000  0.0000  0.1260 x6
Pd  0.0000  0.0000  0.3784 x6
Pb  0.0000  0.0000  0.5000 x3

Largest 8 diffraction maxima, by angle, 10° ≤ 2θ ≤ 90°:
(0 1 2), 22.72 deg, intensity 47; (1 1 0), 37.45 deg, intensity 100; (0 1 8), 37.91 deg, intensity 96; (1 1 6), 44.45 deg, intensity 14; (2 0 8), 54.35 deg, intensity 34; (3 0 0), 67.56 deg, intensity 17; (1 2 8), 67.87 deg, intensity 34; (1 0 16), 68.78 deg, intensity 16